# 1
Theoretical powder XRD pattern of AcHoEr2Se6 for Cu Kα, 1.54184 Å, from a DFT-relaxed cell (GGA-PBE, Alexandria).

The 6 most intense peaks (2θ from 15° to 90°), in order of falling intensity:
| Position (°2θ) | intensity |
| --- | --- |
| 37.04 | 100 |
| 23.05 | 83 |
| 42.65 | 70 |
| 24.24 | 64 |
| 33.70 | 59 |
| 27.94 | 56 |

```
data_AcHoEr2Se6
_chemical_formula_sum 'Ac3 Ho3 Er6 Se18'
_symmetry_space_group_name_H-M 'R 3'
_symmetry_Int_Tables_number 146
_symmetry_space_group_name_Hall 'R 3'
_cell_length_a 7.3428
_cell_length_b 7.3428
_cell_length_c 19.4116
_cell_angle_alpha 90.00
_cell_angle_beta 90.00
_cell_angle_gamma 120.00
loop_
_atom_site_label
_atom_site_fract_x
_atom_site_fract_y
_atom_site_fract_z
Ac1 0.0000 0.0000 0.0000
Ho1 0.0000 0.0000 0.4855
Er1 0.0000 0.0000 0.2864
Er2 0.0000 0.0000 0.7939
Se1 0.0077 0.3141 0.8844
Se2 0.0206 0.6178 0.0518
```

# 2
Theoretical powder XRD pattern of Ac2HoErSe6 for Cu Kα, 1.54184 Å, from a DFT-relaxed cell (GGA-PBE, Alexandria).

The 6 most intense peaks (2θ from 15° to 90°), in order of falling intensity:
| Position (°2θ) | intensity |
| --- | --- |
| 23.82 | 100 |
| 43.20 | 50 |
| 34.02 | 30 |
| 18.75 | 30 |
| 30.54 | 29 |
| 37.48 | 29 |

```
data_Ac2HoErSe6
_chemical_formula_sum 'Ac4 Ho2 Er2 Se12'
_symmetry_space_group_name_H-M 'P 1 21/c 1'
_symmetry_Int_Tables_number 14
_cell_length_a 7.1542
_cell_length_b 7.8760
_cell_length_c 12.7337
_cell_angle_alpha 90.00
_cell_angle_beta 124.13
_cell_angle_gamma 90.00
loop_
_symmetry_equiv_pos_as_xyz
'x,y,z'
'-x,-y,-z'
'-x,y+1/2,-z+1/2'
'x,-y+1/2,z+1/2'
loop_
_atom_site_label
_atom_site_fract_x
_atom_site_fract_y
_atom_site_fract_z
Ac1 0.2136 0.0965 0.2498
Ho1 0.5000 0.0000 0.0000
Er1 0.0000 0.0000 0.5000
Se1 0.1142 0.1880 0.9367
Se2 0.2584 0.6872 0.9368
Se3 0.3784 0.0385 0.7494
```

# 3
Theoretical powder XRD pattern of AcSm2Ho2Er2 for Cu Kα, 1.54184 Å, from a DFT-relaxed cell (GGA-PBE, Alexandria).

The 6 most intense peaks (2θ from 15° to 90°), in order of falling intensity:
| Position (°2θ) | intensity |
| --- | --- |
| 30.21 | 100 |
| 30.31 | 99 |
| 35.06 | 67 |
| 59.98 | 57 |
| 50.39 | 36 |
| 50.53 | 36 |

```
data_AcSm2Ho2Er2
_chemical_formula_sum 'Ac2 Sm4 Ho4 Er4'
_symmetry_space_group_name_H-M 'C 1 2/m 1'
_symmetry_Int_Tables_number 12
_cell_length_a 11.4514
_cell_length_b 5.1142
_cell_length_c 8.0872
_cell_angle_alpha 90.00
_cell_angle_beta 98.45
_cell_angle_gamma 90.00
loop_
_symmetry_equiv_pos_as_xyz
'x,y,z'
'-x,-y,-z'
'-x,y,-z'
'x,-y,z'
'x+1/2,y+1/2,z'
'-x+1/2,-y+1/2,-z'
'-x+1/2,y+1/2,-z'
'x+1/2,-y+1/2,z'
loop_
_atom_site_label
_atom_site_fract_x
_atom_site_fract_y
_atom_site_fract_z
Ac1 0.0000 0.0000 0.0000
Sm1 0.2153 0.5000 0.1511
Ho1 0.0742 0.5000 0.7062
Er1 0.1425 0.0000 0.4337
```

# 4
Theoretical powder XRD pattern of AcHoErTe3 for Cu Kα, 1.54184 Å, from a DFT-relaxed cell (GGA-PBE, Alexandria).

The 6 most intense peaks (2θ from 15° to 90°), in order of falling intensity:
| Position (°2θ) | intensity |
| --- | --- |
| 29.59 | 100 |
| 26.60 | 82 |
| 28.94 | 71 |
| 32.07 | 68 |
| 41.08 | 58 |
| 30.77 | 53 |

```
data_AcHoErTe3
_chemical_formula_sum 'Ac2 Ho2 Er2 Te6'
_symmetry_space_group_name_H-M 'P 1 21/m 1'
_symmetry_Int_Tables_number 11
_cell_length_a 8.7133
_cell_length_b 4.3941
_cell_length_c 10.9209
_cell_angle_alpha 90.00
_cell_angle_beta 107.49
_cell_angle_gamma 90.00
loop_
_symmetry_equiv_pos_as_xyz
'x,y,z'
'-x,-y,-z'
'-x,y+1/2,-z'
'x,-y+1/2,z'
loop_
_atom_site_label
_atom_site_fract_x
_atom_site_fract_y
_atom_site_fract_z
Ac1 0.1914 0.2500 0.2233
Ho1 0.3384 0.7500 0.9044
Er1 0.1489 0.2500 0.6247
Te1 0.0982 0.2500 0.8952
Te2 0.2259 0.7500 0.4638
Te3 0.4884 0.7500 0.2013
```

# 5
Theoretical powder XRD pattern of AcYHo3Er for Cu Kα, 1.54184 Å, from a DFT-relaxed cell (GGA-PBE, Alexandria).

The 6 most intense peaks (2θ from 15° to 90°), in order of falling intensity:
| Position (°2θ) | intensity |
| --- | --- |
| 31.57 | 100 |
| 30.07 | 90 |
| 31.91 | 88 |
| 31.36 | 49 |
| 35.83 | 44 |
| 16.44 | 36 |

```
data_AcYHo3Er
_chemical_formula_sum 'Ac4 Y4 Ho12 Er4'
_symmetry_space_group_name_H-M 'C 1 2/m 1'
_symmetry_Int_Tables_number 12
_cell_length_a 19.6077
_cell_length_b 5.6094
_cell_length_c 7.6407
_cell_angle_alpha 90.00
_cell_angle_beta 90.59
_cell_angle_gamma 90.00
loop_
_symmetry_equiv_pos_as_xyz
'x,y,z'
'-x,-y,-z'
'-x,y,-z'
'x,-y,z'
'x+1/2,y+1/2,z'
'-x+1/2,-y+1/2,-z'
'-x+1/2,y+1/2,-z'
'x+1/2,-y+1/2,z'
loop_
_atom_site_label
_atom_site_fract_x
_atom_site_fract_y
_atom_site_fract_z
Ac1 0.1383 0.0000 0.0226
Y1 0.0544 0.5000 0.3108
Ho1 0.0256 0.0000 0.6973
Ho2 0.1655 0.5000 0.7046
Ho3 0.2215 0.5000 0.2488
Er1 0.1550 0.0000 0.4476
```

# 6
Theoretical powder XRD pattern of Ac3ErIn for Cu Kα, 1.54184 Å, from a DFT-relaxed cell (GGA-PBE, Alexandria).

The 6 most intense peaks (2θ from 15° to 90°), in order of falling intensity:
| Position (°2θ) | intensity |
| --- | --- |
| 29.24 | 100 |
| 33.86 | 33 |
| 48.67 | 23 |
| 33.97 | 18 |
| 57.79 | 15 |
| 57.91 | 15 |

```
data_Ac3ErIn
_chemical_formula_sum 'Ac12 Er4 In4'
_symmetry_space_group_name_H-M 'C m c m'
_symmetry_Int_Tables_number 63
_symmetry_space_group_name_Hall '-C 2c 2'
_cell_length_a 5.2921
_cell_length_b 26.4937
_cell_length_c 5.2781
_cell_angle_alpha 90.00
_cell_angle_beta 90.00
_cell_angle_gamma 90.00
loop_
_atom_site_label
_atom_site_fract_x
_atom_site_fract_y
_atom_site_fract_z
Ac1 0.0000 0.0564 0.2500
Ac2 0.0000 0.2503 0.2500
Ac3 0.0000 0.4409 0.2500
Er1 0.0000 0.3472 0.7500
In1 0.0000 0.1539 0.7500
```

# 7
Theoretical powder XRD pattern of Ac5Er4In4 for Cu Kα, 1.54184 Å, from a DFT-relaxed cell (GGA-PBE, Alexandria).

The 6 most intense peaks (2θ from 15° to 90°), in order of falling intensity:
| Position (°2θ) | intensity |
| --- | --- |
| 29.78 | 100 |
| 26.60 | 33 |
| 33.94 | 29 |
| 35.65 | 27 |
| 29.67 | 21 |
| 32.68 | 20 |

```
data_Ac5Er4In4
_chemical_formula_sum 'Ac10 Er8 In8'
_symmetry_space_group_name_H-M 'I 4/m'
_symmetry_Int_Tables_number 87
_symmetry_space_group_name_Hall '-I 4'
_cell_length_a 13.4671
_cell_length_b 13.4671
_cell_length_c 5.0366
_cell_angle_alpha 90.00
_cell_angle_beta 90.00
_cell_angle_gamma 90.00
loop_
_atom_site_label
_atom_site_fract_x
_atom_site_fract_y
_atom_site_fract_z
Ac1 0.0000 0.0000 0.0000
Ac2 0.1268 0.2021 0.5000
Er1 0.0802 0.5988 0.5000
In1 0.0668 0.7481 0.0000
```

# 8
Theoretical powder XRD pattern of Ac3ErIn2 for Cu Kα, 1.54184 Å, from a DFT-relaxed cell (GGA-PBE, Alexandria).

The 6 most intense peaks (2θ from 15° to 90°), in order of falling intensity:
| Position (°2θ) | intensity |
| --- | --- |
| 27.11 | 100 |
| 32.38 | 76 |
| 35.14 | 32 |
| 30.35 | 29 |
| 36.51 | 29 |
| 48.52 | 27 |

```
data_Ac3ErIn2
_chemical_formula_sum 'Ac6 Er2 In4'
_symmetry_space_group_name_H-M 'I m m m'
_symmetry_Int_Tables_number 71
_symmetry_space_group_name_Hall '-I 2 2'
_cell_length_a 4.9221
_cell_length_b 5.1077
_cell_length_c 17.6727
_cell_angle_alpha 90.00
_cell_angle_beta 90.00
_cell_angle_gamma 90.00
loop_
_atom_site_label
_atom_site_fract_x
_atom_site_fract_y
_atom_site_fract_z
Ac1 0.0000 0.0000 0.0000
Ac2 0.0000 0.5000 0.3228
Er1 0.0000 0.0000 0.5000
In1 0.0000 0.5000 0.1301
```

# 9
Theoretical powder XRD pattern of Ac5ErIn6 for Cu Kα, 1.54184 Å, from a DFT-relaxed cell (GGA-PBE, Alexandria).

The 6 most intense peaks (2θ from 15° to 90°), in order of falling intensity:
| Position (°2θ) | intensity |
| --- | --- |
| 30.69 | 100 |
| 32.96 | 54 |
| 30.84 | 33 |
| 57.39 | 19 |
| 40.50 | 15 |
| 53.27 | 14 |

```
data_Ac5ErIn6
_chemical_formula_sum 'Ac10 Er2 In12'
_symmetry_space_group_name_H-M 'C 1 2/m 1'
_symmetry_Int_Tables_number 12
_cell_length_a 17.7070
_cell_length_b 7.6977
_cell_length_c 5.8965
_cell_angle_alpha 90.00
_cell_angle_beta 100.72
_cell_angle_gamma 90.00
loop_
_symmetry_equiv_pos_as_xyz
'x,y,z'
'-x,-y,-z'
'-x,y,-z'
'x,-y,z'
'x+1/2,y+1/2,z'
'-x+1/2,-y+1/2,-z'
'-x+1/2,y+1/2,-z'
'x+1/2,-y+1/2,z'
loop_
_atom_site_label
_atom_site_fract_x
_atom_site_fract_y
_atom_site_fract_z
Ac1 0.0000 0.0000 0.0000
Ac2 0.1614 0.0000 0.6710
Ac3 0.1787 0.5000 0.7025
Er1 0.0000 0.5000 0.0000
In1 0.0000 0.2885 0.5000
In2 0.1558 0.2739 0.1872
```

# 10
Theoretical powder XRD pattern of Ac3Er2In3 for Cu Kα, 1.54184 Å, from a DFT-relaxed cell (GGA-PBE, Alexandria).

The 6 most intense peaks (2θ from 15° to 90°), in order of falling intensity:
| Position (°2θ) | intensity |
| --- | --- |
| 31.20 | 100 |
| 30.46 | 19 |
| 55.45 | 16 |
| 44.11 | 14 |
| 54.61 | 13 |
| 65.13 | 9 |

```
data_Ac3Er2In3
_chemical_formula_sum 'Ac6 Er4 In6'
_symmetry_space_group_name_H-M 'I m m m'
_symmetry_Int_Tables_number 71
_symmetry_space_group_name_Hall '-I 2 2'
_cell_length_a 3.9984
_cell_length_b 5.7459
_cell_length_c 23.4791
_cell_angle_alpha 90.00
_cell_angle_beta 90.00
_cell_angle_gamma 90.00
loop_
_atom_site_label
_atom_site_fract_x
_atom_site_fract_y
_atom_site_fract_z
Ac1 0.0000 0.0000 0.0000
Ac2 0.0000 0.5000 0.1243
Er1 0.0000 0.0000 0.2361
In1 0.0000 0.0000 0.5000
In2 0.0000 0.5000 0.3697
```

# 11
Theoretical powder XRD pattern of AcErIn2Te4 for Cu Kα, 1.54184 Å, from a DFT-relaxed cell (GGA-PBE, Alexandria).

The 6 most intense peaks (2θ from 15° to 90°), in order of falling intensity:
| Position (°2θ) | intensity |
| --- | --- |
| 26.80 | 100 |
| 37.30 | 27 |
| 39.22 | 24 |
| 48.28 | 13 |
| 37.10 | 13 |
| 39.38 | 12 |

```
data_AcErIn2Te4
_chemical_formula_sum 'Ac1 Er1 In2 Te4'
_symmetry_space_group_name_H-M 'P 1 2/m 1'
_symmetry_Int_Tables_number 10
_cell_length_a 7.9679
_cell_length_b 4.5761
_cell_length_c 8.5205
_cell_angle_alpha 90.00
_cell_angle_beta 107.87
_cell_angle_gamma 90.00
loop_
_symmetry_equiv_pos_as_xyz
'x,y,z'
'-x,-y,-z'
'-x,y,-z'
'x,-y,z'
loop_
_atom_site_label
_atom_site_fract_x
_atom_site_fract_y
_atom_site_fract_z
Ac1 0.0000 0.0000 0.0000
Er1 0.5000 0.5000 0.0000
In1 0.0000 0.5000 0.5000
In2 0.5000 0.0000 0.5000
Te1 0.2631 0.5000 0.2296
Te2 0.2790 0.0000 0.7805
```

# 12
Theoretical powder XRD pattern of AcErIr for Cu Kα, 1.54184 Å, from a DFT-relaxed cell (GGA-PBE, Alexandria).

The 6 most intense peaks (2θ from 15° to 90°), in order of falling intensity:
| Position (°2θ) | intensity |
| --- | --- |
| 27.89 | 100 |
| 37.15 | 48 |
| 42.41 | 37 |
| 51.52 | 23 |
| 49.27 | 23 |
| 68.87 | 15 |

```
data_AcErIr
_chemical_formula_sum 'Ac1 Er1 Ir1'
_symmetry_space_group_name_H-M 'P 3 m 1'
_symmetry_Int_Tables_number 156
_cell_length_a 4.2623
_cell_length_b 4.2623
_cell_length_c 6.4114
_cell_angle_alpha 90.00
_cell_angle_beta 90.00
_cell_angle_gamma 120.00
loop_
_symmetry_equiv_pos_as_xyz
'x,y,z'
'-y,x-y,z'
'-x+y,-x,z'
'-y,-x,z'
'-x+y,y,z'
'x,x-y,z'
loop_
_atom_site_label
_atom_site_fract_x
_atom_site_fract_y
_atom_site_fract_z
Ac1 0.0000 0.0000 0.0000
Er1 0.6667 0.3333 0.5449
Ir1 0.3333 0.6667 0.7435
```

# 13
Theoretical powder XRD pattern of Ac5La6Er2 for Cu Kα, 1.54184 Å, from a DFT-relaxed cell (GGA-PBE, Alexandria).

The 6 most intense peaks (2θ from 15° to 90°), in order of falling intensity:
| Position (°2θ) | intensity |
| --- | --- |
| 30.09 | 100 |
| 29.11 | 70 |
| 29.25 | 51 |
| 28.68 | 35 |
| 30.53 | 34 |
| 29.87 | 33 |

```
data_Ac5La6Er2
_chemical_formula_sum 'Ac10 La12 Er4'
_symmetry_space_group_name_H-M 'P b a m'
_symmetry_Int_Tables_number 55
_cell_length_a 12.1442
_cell_length_b 22.1921
_cell_length_c 3.8349
_cell_angle_alpha 90.00
_cell_angle_beta 90.00
_cell_angle_gamma 90.00
loop_
_symmetry_equiv_pos_as_xyz
'x,y,z'
'-x,-y,-z'
'-x,-y,z'
'x,y,-z'
'x+1/2,-y+1/2,-z'
'-x+1/2,y+1/2,z'
'-x+1/2,y+1/2,-z'
'x+1/2,-y+1/2,z'
loop_
_atom_site_label
_atom_site_fract_x
_atom_site_fract_y
_atom_site_fract_z
Ac1 0.0000 0.0000 0.0000
Ac2 0.0636 0.4228 0.0000
Ac3 0.1469 0.7222 0.0000
La1 0.0814 0.1533 0.0000
La2 0.1657 0.8805 0.5000
La3 0.2242 0.5561 0.5000
Er1 0.1145 0.2842 0.5000
```